# Pm4NdSe5
Computed XRD peak list, Cu Kα (weighted mean of Kα1 and Kα2). Input: a cell relaxed with PBE.

Principal peaks in the range 10 to 90 degrees two-theta, low angle first:
2θ (°)  Rel. int.
30.06  100
42.89  38
43.18  37
53.26  20
70.68  17
71.10  17

a = 17.2268 Å, b = 17.2268 Å, c = 17.2268 Å
α = 14.06°, β = 14.06°, γ = 14.06°
Fractional coordinates of all 10 atoms:
Pm (0.0997, 0.0997, 0.0997)
Pm (0.3001, 0.3001, 0.3001)
Pm (0.6999, 0.6999, 0.6999)
Pm (0.9003, 0.9003, 0.9003)
Nd (0.5000, 0.5000, 0.5000)
Se (0.0000, 0.0000, 0.0000)
Se (0.2006, 0.2006, 0.2006)
Se (0.3998, 0.3998, 0.3998)
Se (0.6002, 0.6002, 0.6002)
Se (0.7994, 0.7994, 0.7994)

# Pm5Nd3Se8
Computed XRD peak list, Cu Kα (weighted mean of Kα1 and Kα2). Input: a cell relaxed with PBE.

Principal peaks in the range 10 to 90 degrees two-theta, low angle first:
2θ (°)  Rel. int.
25.92  16
30.01  100
42.96  75
53.29  26
70.76  34
78.72  25

a = 8.4237 Å, b = 8.4237 Å, c = 8.4237 Å
α = 59.97°, β = 59.97°, γ = 59.97°
Fractional coordinates of all 16 atoms:
Pm (0.0000, 0.0000, 0.0000)
Pm (0.0000, 0.5000, 0.5000)
Pm (0.5000, 0.0000, 0.5000)
Pm (0.5000, 0.5000, 0.0000)
Pm (0.5000, 0.5000, 0.5000)
Nd (0.0000, 0.0000, 0.5000)
Nd (0.0000, 0.5000, 0.0000)
Nd (0.5000, 0.0000, 0.0000)
Se (0.2500, 0.2500, 0.7479)
Se (0.2500, 0.7479, 0.2500)
Se (0.2510, 0.2510, 0.2510)
Se (0.2521, 0.7500, 0.7500)
Se (0.7479, 0.2500, 0.2500)
Se (0.7490, 0.7490, 0.7490)
Se (0.7500, 0.2521, 0.7500)
Se (0.7500, 0.7500, 0.2521)

# Pm5NdSi2
Computed XRD peak list, Cu Kα (weighted mean of Kα1 and Kα2). Input: a cell relaxed with PBE.

Principal peaks in the range 10 to 90 degrees two-theta, low angle first:
2θ (°)  Rel. int.
24.88  39
28.43  78
31.53  100
34.58  34
39.73  32
50.19  35

a = 7.5751 Å, b = 7.5751 Å, c = 7.5751 Å
α = 145.15°, β = 102.49°, γ = 87.88°
Fractional coordinates of all 8 atoms:
Pm (0.0000, 0.0000, 0.0000)
Pm (0.0265, 0.3386, 0.6879)
Pm (0.3494, 0.6614, 0.6879)
Pm (0.6506, 0.3386, 0.3121)
Pm (0.9735, 0.6614, 0.3121)
Nd (0.5000, 0.0000, 0.5000)
Si (0.2888, 0.2888, 0.0000)
Si (0.7112, 0.7112, 0.0000)

# PmNdSi3
Computed XRD peak list, Cu Kα (weighted mean of Kα1 and Kα2). Input: a cell relaxed with PBE.

Principal peaks in the range 10 to 90 degrees two-theta, low angle first:
2θ (°)  Rel. int.
20.81  24
26.42  60
28.67  25
32.26  100
32.57  60
56.80  25

a = 12.6403 Å, b = 12.6403 Å, c = 4.0134 Å
α = 90.00°, β = 90.00°, γ = 160.27°
Fractional coordinates of all 10 atoms:
Pm (0.2020, 0.7980, 0.7500)
Pm (0.7980, 0.2020, 0.2500)
Nd (0.0692, 0.9308, 0.2500)
Nd (0.9308, 0.0692, 0.7500)
Si (0.3243, 0.6757, 0.7500)
Si (0.3812, 0.6188, 0.2500)
Si (0.4754, 0.5246, 0.2500)
Si (0.5246, 0.4754, 0.7500)
Si (0.6188, 0.3812, 0.7500)
Si (0.6757, 0.3243, 0.2500)

# Pm2NdZn2Si2
Computed XRD peak list, Cu Kα (weighted mean of Kα1 and Kα2). Input: a cell relaxed with PBE.

Principal peaks in the range 10 to 90 degrees two-theta, low angle first:
2θ (°)  Rel. int.
25.05  37
26.99  28
30.86  56
32.48  100
36.10  28
43.88  61

a = 11.7974 Å, b = 11.7974 Å, c = 11.7974 Å
α = 20.15°, β = 20.15°, γ = 20.15°
Fractional coordinates of all 7 atoms:
Pm (0.1215, 0.1215, 0.1215)
Pm (0.8785, 0.8785, 0.8785)
Nd (0.0000, 0.0000, 0.0000)
Zn (0.3949, 0.3949, 0.3949)
Zn (0.6051, 0.6051, 0.6051)
Si (0.2710, 0.2710, 0.2710)
Si (0.7290, 0.7290, 0.7290)

# Pm7Nd2Sm3
Computed XRD peak list, Cu Kα (weighted mean of Kα1 and Kα2). Input: a cell relaxed with PBE.

Principal peaks in the range 10 to 90 degrees two-theta, low angle first:
2θ (°)  Rel. int.
30.00  49
30.13  42
30.51  100
30.82  31
30.96  45
33.91  37

a = 5.9612 Å, b = 3.6418 Å, c = 19.2334 Å
α = 90.00°, β = 93.25°, γ = 90.00°
Fractional coordinates of all 12 atoms:
Pm (0.0000, 0.0000, 0.0000)
Pm (0.1825, 0.5000, 0.1771)
Pm (0.2577, 0.5000, 0.5365)
Pm (0.3195, 0.0000, 0.8566)
Pm (0.6805, 0.0000, 0.1434)
Pm (0.7423, 0.5000, 0.4635)
Pm (0.8175, 0.5000, 0.8229)
Nd (0.2943, 0.5000, 0.7048)
Nd (0.7057, 0.5000, 0.2952)
Sm (0.2168, 0.0000, 0.3681)
Sm (0.5000, 0.5000, 0.0000)
Sm (0.7832, 0.0000, 0.6319)